Computed powder diffractogram of Pm2ErPa2Ru5 for Cu Kα, 1.54184 Å, from a DFT-relaxed cell (PBE, Alexandria).
No peak broadening, texture or thermal motion is included.

Cell and atoms:
```
data_Pm2ErPa2Ru5
_chemical_formula_sum 'Pm4 Er2 Pa4 Ru10'
_cell_length_a 11.093
_cell_length_b 11.093
_cell_length_c 3.449
_cell_angle_alpha 90.00
_cell_angle_beta 90.00
_cell_angle_gamma 90.00
_space_group_name_H-M_alt 'P 1'
_space_group_IT_number 1
loop_
_space_group_symop_operation_xyz
'x,y,z'
loop_
_atom_site_label
_atom_site_type_symbol
_atom_site_fract_x
_atom_site_fract_y
_atom_site_fract_z
_atom_site_occupancy
Pm1 Pm 0.166 0.334 0.000 1
Pm2 Pm 0.334 0.834 0.000 1
Pm3 Pm 0.666 0.166 0.000 1
Pm4 Pm 0.834 0.666 0.000 1
Er1 Er 0.000 0.000 0.000 1
Er2 Er 0.500 0.500 0.000 1
Pa1 Pa 0.144 0.644 0.000 1
Pa2 Pa 0.356 0.144 0.000 1
Pa3 Pa 0.644 0.856 0.000 1
Pa4 Pa 0.856 0.356 0.000 1
Ru1 Ru 0.000 0.500 0.500 1
Ru2 Ru 0.042 0.785 0.500 1
Ru3 Ru 0.215 0.042 0.500 1
Ru4 Ru 0.285 0.542 0.500 1
Ru5 Ru 0.458 0.285 0.500 1
Ru6 Ru 0.500 0.000 0.500 1
Ru7 Ru 0.542 0.715 0.500 1
Ru8 Ru 0.715 0.458 0.500 1
Ru9 Ru 0.785 0.958 0.500 1
Ru10 Ru 0.958 0.215 0.500 1
```

Most intense lines, 5 to 70 degrees two-theta, low angle first:
hkl, d [Å], I_rel
2 1 0, 4.961, 20
3 1 0, 3.508, 30
3 3 0, 2.615, 31
2 2 1, 2.590, 23
4 2 0, 2.480, 19
3 1 1, 2.459, 100
3 2 1, 2.296, 15
4 0 1, 2.161, 31
4 4 0, 1.961, 15
0 0 2, 1.725, 15